# ScZnTc
Theoretical PXRD pattern, Cu Kα (λ = 1.5418 Å). Input: a cell relaxed with GGA-PBE.

Principal peaks in the range 2θ = 10–90°, most intense first:
41.2 deg, I = 100
37.2 deg, I = 78
42.8 deg, I = 47
35.9 deg, I = 45
27.7 deg, I = 37
36.8 deg, I = 28
57.1 deg, I = 22
17.8 deg, I = 18
50.9 deg, I = 18
23.1 deg, I = 15

Structure:
Cell lengths 5.389, 5.389, 6.442 Å; angles 125.49, 125.49, 46.18 degrees
Sites, in units of the cell vectors:
1 Sc 0.000 0.000 0.000
2 Sc 0.000 0.000 0.500
3 Zn 0.338 0.338 0.599
4 Zn 0.662 0.662 0.401
5 Tc 0.317 0.317 0.016
6 Tc 0.683 0.683 0.984